This entry pairs a crystal structure of GaSb with its calculated powder diffraction line list. Radiation: CuKα. Structure: a structure optimized by DFT (PBE).

The 10 most intense peaks (10 to 80 degrees two-theta), in order of rising 2θ:
3.797 Å, 2θ 23.43, rel. 100; 3.604 Å, 2θ 24.71, rel. 62; 3.359 Å, 2θ 26.54, rel. 87; 2.614 Å, 2θ 34.31, rel. 39; 2.192 Å, 2θ 41.18, rel. 90; 2.030 Å, 2θ 44.64, rel. 92; 1.873 Å, 2θ 48.62, rel. 58; 1.489 Å, 2θ 62.34, rel. 33; 1.348 Å, 2θ 69.79, rel. 23; 1.232 Å, 2θ 77.48, rel. 35

Crystal structure
```
data_GaSb
_cell_length_a 4.3839
_cell_length_b 4.3839
_cell_length_c 7.2070
_cell_angle_alpha 90.00
_cell_angle_beta 90.00
_cell_angle_gamma 120.00
_symmetry_space_group_name_H-M 'P 63 m c'
_symmetry_Int_Tables_number 186
_symmetry_space_group_name_Hall 'P 6c -2c'
loop_
_atom_site_label
_atom_site_type_symbol
_atom_site_fract_x
_atom_site_fract_y
_atom_site_fract_z
_atom_site_occupancy
Ga1 Ga 0.3333 0.6667 0.0000 1
Sb1 Sb 0.3333 0.6667 0.3746 1
```


This entry pairs a crystal structure of GaSb with its calculated powder diffraction line list. Radiation: CuKα. Structure: a structure optimized by DFT (PBE).

The 10 most intense peaks (10 to 80 degrees two-theta), in order of rising 2θ:
3.928 Å, 2θ 22.64, rel. 16; 2.893 Å, 2θ 30.91, rel. 61; 2.690 Å, 2θ 33.31, rel. 100; 2.675 Å, 2θ 33.50, rel. 49; 1.970 Å, 2θ 46.07, rel. 80; 1.964 Å, 2θ 46.22, rel. 40; 1.547 Å, 2θ 59.77, rel. 18; 1.364 Å, 2θ 68.81, rel. 23; 1.274 Å, 2θ 74.47, rel. 19; 1.220 Å, 2θ 78.41, rel. 16

Crystal structure
```
data_GaSb
_cell_length_a 3.1118
_cell_length_b 5.3500
_cell_length_c 5.7866
_cell_angle_alpha 90.00
_cell_angle_beta 90.00
_cell_angle_gamma 90.00
_symmetry_space_group_name_H-M 'I m m m'
_symmetry_Int_Tables_number 71
_symmetry_space_group_name_Hall '-I 2 2'
loop_
_atom_site_label
_atom_site_type_symbol
_atom_site_fract_x
_atom_site_fract_y
_atom_site_fract_z
_atom_site_occupancy
Ga1 Ga 0.0000 0.0000 0.0000 1
Sb1 Sb 0.0000 0.0000 0.5000 1
```


This entry pairs a crystal structure of GaSb with its calculated powder diffraction line list. Radiation: CuKα. Structure: a structure optimized by DFT (PBE).

The 8 most intense peaks (10 to 80 degrees two-theta), in order of rising 2θ:
3.894 Å, 2θ 22.84, rel. 7; 2.754 Å, 2θ 32.51, rel. 100; 1.947 Å, 2θ 46.64, rel. 55; 1.741 Å, 2θ 52.55, rel. 1; 1.590 Å, 2θ 58.01, rel. 10; 1.473 Å, 2θ 63.14, rel. 14; 1.377 Å, 2θ 68.10, rel. 18; 1.231 Å, 2θ 77.52, rel. 16

Crystal structure
```
data_GaSb
_cell_length_a 5.5069
_cell_length_b 5.5069
_cell_length_c 3.1814
_cell_angle_alpha 90.00
_cell_angle_beta 90.00
_cell_angle_gamma 90.00
_symmetry_space_group_name_H-M 'I -4 m 2'
_symmetry_Int_Tables_number 119
_symmetry_space_group_name_Hall 'I -4 -2'
loop_
_atom_site_label
_atom_site_type_symbol
_atom_site_fract_x
_atom_site_fract_y
_atom_site_fract_z
_atom_site_occupancy
Ga1 Ga 0.0000 0.0000 0.0000 1
Sb1 Sb 0.0000 0.5000 0.2500 1
```


This entry pairs a crystal structure of GaSb with its calculated powder diffraction line list. Radiation: CuKα. Structure: a structure optimized by DFT (PBE).

The 9 most intense peaks (10 to 80 degrees two-theta), in order of rising 2θ:
3.591 Å, 2θ 24.80, rel. 100; 3.110 Å, 2θ 28.71, rel. 6; 2.199 Å, 2θ 41.05, rel. 74; 1.875 Å, 2θ 48.55, rel. 48; 1.795 Å, 2θ 50.86, rel. 2; 1.555 Å, 2θ 59.45, rel. 12; 1.427 Å, 2θ 65.41, rel. 19; 1.391 Å, 2θ 67.33, rel. 2; 1.269 Å, 2θ 74.79, rel. 24

Crystal structure
```
data_GaSb
_cell_length_a 6.2191
_cell_length_b 6.2191
_cell_length_c 6.2191
_cell_angle_alpha 90.00
_cell_angle_beta 90.00
_cell_angle_gamma 90.00
_symmetry_space_group_name_H-M 'F -4 3 m'
_symmetry_Int_Tables_number 216
_symmetry_space_group_name_Hall 'F -4 2 3'
loop_
_atom_site_label
_atom_site_type_symbol
_atom_site_fract_x
_atom_site_fract_y
_atom_site_fract_z
_atom_site_occupancy
Ga1 Ga 0.0000 0.0000 0.0000 1
Sb1 Sb 0.2500 0.2500 0.7500 1
```